Ca3AlSb3: theoretical powder diffractogram (Cu Kα), based on a crystal structure in Alexandria, relaxed with GGA-PBE.
Peak positions follow from Bragg's law for the DFT cell and can differ from measured ones.

Top 8 peaks for 10 to 90 degrees two-theta, in order of falling intensity:
2theta  d/Å  intensity
24.03  3.703  100
24.82  3.587  79
24.25  3.670  54
30.51  2.930  48
34.81  2.577  44
39.84  2.263  43
29.25  3.053  38
34.03  2.634  37

Atomic structure:
```
28
Lattice="12.961 0.000 0.000 0.000 4.525 0.000 0.000 0.000 14.332" Properties=species:S:1:pos:R:3 pbc="T T T"
Ca 0.753 1.131 1.606
Ca 1.944 3.394 7.118
Ca 2.949 3.394 11.168
Ca 3.531 1.131 4.003
Ca 4.536 1.131 14.283
Ca 5.727 3.394 8.772
Ca 7.233 1.131 5.559
Ca 8.425 3.394 0.048
Ca 9.429 3.394 10.329
Ca 10.011 1.131 3.163
Ca 11.016 1.131 7.214
Ca 12.207 3.394 12.725
Al 0.879 1.131 10.080
Al 5.601 3.394 2.914
Al 7.359 1.131 11.417
Al 12.081 3.394 4.251
Sb 0.519 1.131 5.022
Sb 1.480 1.131 12.766
Sb 3.154 3.394 1.698
Sb 3.326 1.131 8.864
Sb 5.000 3.394 5.600
Sb 5.961 3.394 12.187
Sb 7.000 1.131 2.144
Sb 7.960 1.131 8.731
Sb 9.634 3.394 5.467
Sb 9.807 1.131 12.633
Sb 11.480 3.394 1.566
Sb 12.441 3.394 9.310
```